No. 1
ThN4F8: calculated PXRD pattern (a wavelength of 1.5418 Å), based on the GGA-PBE geometry in Alexandria.
Peak positions follow from Bragg's law for the DFT cell and can differ from measured ones.

Structure:
a b c (Å): 7.704 8.274 8.983
angles (deg): 98.05 90.75 101.89
Space group P-1 (No. 2)
Symmetry-distinct sites (fractional):
Th  0.243  0.469  0.031 x2
N  0.099  0.059  0.203 x2
N  0.103  0.704  0.533 x2
N  0.342  0.304  0.577 x2
N  0.479  0.991  0.806 x2
F  0.060  0.598  0.902 x2
F  0.185  0.234  0.891 x2
F  0.198  0.218  0.234 x2
F  0.249  0.651  0.569 x2
F  0.281  0.639  0.232 x2
F  0.318  0.138  0.546 x2
F  0.328  0.914  0.861 x2
F  0.482  0.599  0.903 x2

Largest 10 diffraction maxima, by intensity, 15 to 90 degrees two-theta:
5.560 Å, rel. 100, hkl 0 1 1; 3.466 Å, rel. 59, hkl 0 2 1; 3.765 Å, rel. 54, hkl 2 0 0; 3.665 Å, rel. 48, hkl 0 1 2; 4.443 Å, rel. 45, hkl 0 0 2; 3.869 Å, rel. 44, hkl 0 2 -1; 3.403 Å, rel. 40, hkl -2 1 1; 4.151 Å, rel. 35, hkl 0 1 -2; 3.722 Å, rel. 32, hkl 2 -1 0; 3.530 Å, rel. 29, hkl 1 1 -2


No. 2
Dy6Y3Tm: calculated PXRD pattern (a wavelength of 1.5418 Å), based on the GGA-PBE geometry in Alexandria.
Peak positions follow from Bragg's law for the DFT cell and can differ from measured ones.

Structure:
a b c (Å): 11.020 18.996 6.153
angles (deg): 90.00 90.00 90.00
Space group Cmc2_1 (No. 36)
Symmetry-distinct sites (fractional):
Dy  0.000  0.048  0.000 x4
Dy  0.000  0.282  0.712 x4
Dy  0.165  0.453  0.605 x8
Dy  0.247  0.289  0.433 x8
Y  0.000  0.390  0.141 x4
Y  0.169  0.109  0.532 x8
Tm  0.000  0.208  0.214 x4

Largest 10 diffraction maxima, by intensity, 15 to 90 degrees two-theta:
2.818 Å, rel. 100, hkl 0 6 1; 3.107 Å, rel. 57, hkl 2 4 1; 2.585 Å, rel. 43, hkl 2 2 2; 2.927 Å, rel. 22, hkl 0 2 2; 2.645 Å, rel. 21, hkl 4 2 0; 1.551 Å, rel. 18, hkl 0 8 3; 2.686 Å, rel. 17, hkl 2 0 2; 2.507 Å, rel. 15, hkl 2 6 1; 1.782 Å, rel. 14, hkl 2 4 3; 1.555 Å, rel. 13, hkl 6 2 2


No. 3
Tm3CdTc: calculated PXRD pattern (a wavelength of 1.5418 Å), based on the GGA-PBE geometry in Alexandria.
Peak positions follow from Bragg's law for the DFT cell and can differ from measured ones.

Structure:
a b c (Å): 11.033 5.006 8.920
angles (deg): 90.00 102.06 90.00
Space group C2/m (No. 12)
Symmetry-distinct sites (fractional):
Tm  0.070  0.000  0.338 x4
Tm  0.081  0.500  0.867 x4
Tm  0.242  0.500  0.220 x4
Cd  0.139  0.500  0.543 x4
Tc  0.113  0.000  0.032 x4

Largest 10 diffraction maxima, by intensity, 15 to 90 degrees two-theta:
2.553 Å, rel. 100, hkl 1 1 -3; 2.638 Å, rel. 94, hkl 3 1 1; 2.503 Å, rel. 52, hkl 0 2 0; 2.544 Å, rel. 42, hkl 4 0 -2; 1.455 Å, rel. 30, hkl 1 3 -3; 1.784 Å, rel. 29, hkl 4 2 -2; 2.923 Å, rel. 29, hkl 3 1 -1; 1.508 Å, rel. 20, hkl 2 2 4; 1.470 Å, rel. 15, hkl 3 3 1; 1.889 Å, rel. 14, hkl 2 0 4